(1)
Starting from the PBE+U geometry in the Materials Project, the powder XRD pattern of Ba2Mo2F11 was calculated for copper Kα.
Kinematic intensities with the Lorentz-polarization factor, no thermal factor.

Cell lengths 8.033, 8.033, 14.646 Å; angles 90.00, 90.00, 120.00 degrees
Element x y z (fractional)
Ba (0.140, 0.075, 0.000)
Ba (0.487, 0.076, 0.491)
Ba (0.589, 0.513, 0.824)
Ba (0.924, 0.411, 0.158)
Ba (0.925, 0.065, 0.667)
Ba (0.935, 0.860, 0.333)
Mo (0.189, 0.440, 0.413)
Mo (0.251, 0.811, 0.746)
Mo (0.400, 0.336, 0.239)
Mo (0.560, 0.749, 0.079)
Mo (0.664, 0.064, 0.905)
Mo (0.936, 0.600, 0.572)
F (0.018, 0.563, 0.437)
F (0.034, 0.881, 0.528)
F (0.061, 0.339, 0.021)
F (0.119, 0.153, 0.195)
F (0.155, 0.356, 0.538)
F (0.201, 0.845, 0.871)
F (0.249, 0.747, 0.608)
F (0.252, 0.575, 0.762)
F (0.253, 0.502, 0.275)
F (0.256, 0.251, 0.847)
F (0.279, 0.939, 0.355)
F (0.280, 0.049, 0.690)
F (0.319, 0.279, 0.384)
F (0.322, 0.748, 0.095)
F (0.425, 0.678, 0.429)
F (0.437, 0.454, 0.104)
F (0.498, 0.751, 0.941)
F (0.500, 0.171, 0.961)
F (0.530, 0.197, 0.185)
F (0.546, 0.982, 0.770)
F (0.644, 0.799, 0.205)
F (0.661, 0.721, 0.688)
F (0.666, 0.470, 0.518)
F (0.671, 0.500, 0.294)
F (0.721, 0.040, 0.050)
F (0.749, 0.005, 0.514)
F (0.769, 0.720, 0.024)
F (0.803, 0.334, 0.851)
F (0.829, 0.329, 0.628)
F (0.847, 0.966, 0.861)
F (0.951, 0.231, 0.357)
F (0.960, 0.681, 0.717)
F (0.995, 0.744, 0.180)

The 12 most intense peaks (2θ from 5° to 70°), low angle first:
| two_theta | I/Imax |
| --- | --- |
| 14.09 | 60 |
| 17.58 | 35 |
| 22.25 | 93 |
| 22.96 | 100 |
| 25.29 | 69 |
| 26.33 | 57 |
| 27.53 | 45 |
| 28.41 | 50 |
| 33.18 | 41 |
| 38.87 | 48 |
| 45.59 | 36 |
| 46.38 | 39 |



(2)
Starting from the PBE+U geometry in the Materials Project, the powder XRD pattern of Li2Mn3F8 was calculated for copper Kα.
Kinematic intensities with the Lorentz-polarization factor, no thermal factor.

Cell lengths 9.394, 9.394, 9.394 Å; angles 107.39, 107.39, 113.72 degrees
Element x y z (fractional)
Li (0.027, 0.677, 0.963)
Li (0.177, 0.714, 0.650)
Li (0.214, 0.065, 0.537)
Li (0.435, 0.473, 0.150)
Li (0.565, 0.527, 0.850)
Li (0.786, 0.935, 0.463)
Li (0.823, 0.286, 0.350)
Li (0.973, 0.323, 0.037)
Mn (0.049, 0.971, 0.813)
Mn (0.125, 0.375, 0.750)
Mn (0.264, 0.451, 0.421)
Mn (0.343, 0.764, 0.313)
Mn (0.375, 0.125, 0.250)
Mn (0.471, 0.157, 0.921)
Mn (0.529, 0.843, 0.079)
Mn (0.625, 0.875, 0.750)
Mn (0.657, 0.236, 0.687)
Mn (0.736, 0.549, 0.579)
Mn (0.875, 0.625, 0.250)
Mn (0.951, 0.029, 0.187)
F (0.023, 0.716, 0.767)
F (0.039, 0.116, 0.658)
F (0.042, 0.619, 0.158)
F (0.095, 0.944, 0.080)
F (0.119, 0.461, 0.577)
F (0.212, 0.204, 0.400)
F (0.216, 0.949, 0.693)
F (0.243, 0.477, 0.193)
F (0.296, 0.196, 0.008)
F (0.304, 0.812, 0.100)
F (0.312, 0.712, 0.508)
F (0.364, 0.015, 0.420)
F (0.384, 0.542, 0.923)
F (0.444, 0.864, 0.849)
F (0.449, 0.257, 0.733)
F (0.485, 0.405, 0.349)
F (0.515, 0.595, 0.651)
F (0.551, 0.743, 0.267)
F (0.556, 0.136, 0.151)
F (0.616, 0.458, 0.077)
F (0.636, 0.985, 0.580)
F (0.688, 0.288, 0.492)
F (0.696, 0.188, 0.900)
F (0.704, 0.804, 0.992)
F (0.757, 0.523, 0.807)
F (0.784, 0.051, 0.307)
F (0.788, 0.796, 0.600)
F (0.881, 0.539, 0.423)
F (0.905, 0.056, 0.920)
F (0.958, 0.381, 0.842)
F (0.961, 0.884, 0.342)
F (0.977, 0.284, 0.233)

The 12 most intense peaks (2θ from 5° to 70°), low angle first:
| two_theta | I/Imax |
| --- | --- |
| 11.73 | 14 |
| 19.83 | 57 |
| 22.61 | 15 |
| 30.81 | 100 |
| 31.73 | 18 |
| 40.29 | 16 |
| 41.53 | 11 |
| 42.67 | 11 |
| 51.12 | 59 |
| 51.99 | 19 |
| 60.11 | 9 |
| 61.67 | 15 |



(3)
Starting from the PBE+U geometry in the Materials Project, the powder XRD pattern of V3O5F3 was calculated for copper Kα.
Kinematic intensities with the Lorentz-polarization factor, no thermal factor.

Cell lengths 7.312, 7.312, 5.001 Å; angles 90.26, 90.26, 102.61 degrees
Element x y z (fractional)
V (0.069, 0.931, 0.500)
V (0.086, 0.423, 0.503)
V (0.407, 0.595, 0.013)
V (0.423, 0.086, 0.003)
V (0.595, 0.407, 0.513)
V (0.931, 0.069, 0.000)
O (0.061, 0.193, 0.645)
O (0.193, 0.061, 0.145)
O (0.208, 0.549, 0.818)
O (0.319, 0.465, 0.322)
O (0.434, 0.824, 0.103)
O (0.465, 0.319, 0.822)
O (0.549, 0.208, 0.318)
O (0.824, 0.434, 0.603)
O (0.853, 0.947, 0.281)
O (0.947, 0.853, 0.781)
F (0.079, 0.685, 0.360)
F (0.322, 0.963, 0.657)
F (0.567, 0.650, 0.697)
F (0.650, 0.567, 0.197)
F (0.685, 0.079, 0.860)
F (0.963, 0.322, 0.157)

The 12 most intense peaks (2θ from 5° to 70°), low angle first:
| two_theta | I/Imax |
| --- | --- |
| 12.41 | 45 |
| 19.42 | 38 |
| 21.64 | 42 |
| 21.76 | 49 |
| 24.96 | 90 |
| 25.36 | 49 |
| 30.70 | 100 |
| 30.87 | 93 |
| 41.51 | 57 |
| 54.55 | 53 |
| 54.73 | 44 |
| 64.78 | 39 |